Starting from a DFT-relaxed cell (PBE, Alexandria), the powder X-ray diffraction pattern of NpZnNi6 was simulated for Cu Ka.

Main lines, by angle (2θ = 10–90°):
2θ (°)	I (rel.)
21.78	48
40.74	100
45.02	73
45.24	72
77.00	28
77.48	28

Crystal structure
```
data_NpZnNi6
_chemical_formula_sum 'Np4 Zn4 Ni24'
_cell_length_a 6.2298
_cell_length_b 6.2994
_cell_length_c 10.4746
_cell_angle_alpha 90.00
_cell_angle_beta 90.00
_cell_angle_gamma 90.00
_space_group_name_H-M_alt 'F m m m'
_space_group_IT_number 69
_space_group_name_Hall '-F 2 2'
loop_
_atom_site_label
_atom_site_type_symbol
_atom_site_fract_x
_atom_site_fract_y
_atom_site_fract_z
_atom_site_occupancy
Np1 Np 0.0000 0.0000 0.0000 1
Zn1 Zn 0.0000 0.0000 0.5000 1
Ni1 Ni 0.0000 0.0000 0.2569 1
Ni2 Ni 0.2500 0.2500 0.1320 1
```